For Ac8Tb3Ho2, the GGA-PBE geometry in Alexandria gives the simulated powder diffractogram in this record (Cu Kα, 1.54184 Å).

Peak list (8 most intense, 2θ = 10–90°, low angle first)
- 2θ 28.53, d 3.129, rel. 100, (0 2 1)
- 2θ 28.61, d 3.120, rel. 50, (1 1 -3)
- 2θ 28.74, d 3.106, rel. 49, (1 0 3)
- 2θ 33.09, d 2.707, rel. 68, (2 1 0)
- 2θ 33.24, d 2.695, rel. 34, (-1 1 4)
- 2θ 47.39, d 1.918, rel. 25, (1 3 -2)
- 2θ 47.66, d 1.908, rel. 25, (1 2 4)
- 2θ 56.42, d 1.631, rel. 46, (2 3 1)

Cell and atoms:
```
data_Ac8Tb3Ho2
_chemical_formula_sum 'Ac8 Tb3 Ho2'
_cell_length_a 6.6251
_cell_length_b 6.6539
_cell_length_c 12.0297
_cell_angle_alpha 90.09
_cell_angle_beta 100.65
_cell_angle_gamma 99.71
_space_group_name_H-M_alt 'P -1'
_space_group_IT_number 2
_space_group_name_Hall '-P 1'
loop_
_atom_site_label
_atom_site_fract_x
_atom_site_fract_y
_atom_site_fract_z
Ac1 0.0428 0.4165 0.1506
Ac2 0.1965 0.1162 0.7750
Ac3 0.3392 0.8073 0.3846
Ac4 0.4194 0.6532 0.6921
Tb1 0.2745 0.9614 0.0735
Tb2 0.5000 0.5000 0.0000
Ho1 0.1112 0.2667 0.4630
```



For Sc4Ga12Pd, the GGA-PBE geometry in Alexandria gives the simulated powder diffractogram in this record (Cu Kα, 1.54184 Å).

Peak list (8 most intense, 2θ = 10–90°, low angle first)
- 2θ 21.14, d 4.202, rel. 24, (2 0 0)
- 2θ 33.73, d 2.658, rel. 16, (3 1 0)
- 2θ 37.06, d 2.426, rel. 100, (2 2 2)
- 2θ 40.15, d 2.246, rel. 25, (3 2 1)
- 2θ 43.05, d 2.101, rel. 73, (4 0 0)
- 2θ 50.97, d 1.792, rel. 19, (3 3 2)
- 2θ 62.52, d 1.486, rel. 39, (4 4 0)
- 2θ 74.96, d 1.267, rel. 24, (6 2 2)

Cell and atoms:
```
data_Sc4Ga12Pd
_chemical_formula_sum 'Sc8 Ga24 Pd2'
_cell_length_a 8.4038
_cell_length_b 8.4038
_cell_length_c 8.4038
_cell_angle_alpha 90.00
_cell_angle_beta 90.00
_cell_angle_gamma 90.00
_space_group_name_H-M_alt 'I m -3 m'
_space_group_IT_number 229
_space_group_name_Hall '-I 4 2 3'
loop_
_atom_site_label
_atom_site_fract_x
_atom_site_fract_y
_atom_site_fract_z
Sc1 0.2500 0.2500 0.2500
Ga1 0.0000 0.0000 0.2955
Ga2 0.0000 0.2500 0.5000
Pd1 0.0000 0.0000 0.0000
```



For CeNdEuY, the GGA-PBE geometry in Alexandria gives the simulated powder diffractogram in this record (Cu Kα, 1.54184 Å).

Peak list (8 most intense, 2θ = 10–90°, low angle first)
- 2θ 18.64, d 4.760, rel. 2, (1 1 1)
- 2θ 30.67, d 2.915, rel. 100, (2 2 0)
- 2θ 43.93, d 2.061, rel. 19, (4 0 0)
- 2θ 54.53, d 1.683, rel. 39, (4 2 2)
- 2θ 63.88, d 1.457, rel. 12, (4 4 0)
- 2θ 72.52, d 1.303, rel. 17, (6 2 0)
- 2θ 80.77, d 1.190, rel. 4, (4 4 4)
- 2θ 88.82, d 1.102, rel. 20, (6 4 2)

Cell and atoms:
```
data_CeNdEuY
_chemical_formula_sum 'Ce4 Nd4 Eu4 Y4'
_cell_length_a 8.2438
_cell_length_b 8.2438
_cell_length_c 8.2438
_cell_angle_alpha 90.00
_cell_angle_beta 90.00
_cell_angle_gamma 90.00
_space_group_name_H-M_alt 'F -4 3 m'
_space_group_IT_number 216
_space_group_name_Hall 'F -4 2 3'
loop_
_atom_site_label
_atom_site_fract_x
_atom_site_fract_y
_atom_site_fract_z
Ce1 0.0000 0.0000 0.0000
Nd1 0.2500 0.2500 0.7500
Eu1 0.0000 0.0000 0.5000
Y1 0.2500 0.2500 0.2500
```



For Er2Pd4Rh, the GGA-PBE geometry in Alexandria gives the simulated powder diffractogram in this record (Cu Kα, 1.54184 Å).

Peak list (8 most intense, 2θ = 10–90°, low angle first)
- 2θ 33.11, d 2.706, rel. 100, (3 1 1)
- 2θ 37.45, d 2.401, rel. 74, (0 0 4)
- 2θ 37.86, d 2.377, rel. 64, (0 2 2)
- 2θ 38.79, d 2.321, rel. 63, (2 2 1)
- 2θ 41.12, d 2.195, rel. 48, (4 0 2)
- 2θ 42.73, d 2.116, rel. 65, (3 1 3)
- 2θ 47.44, d 1.916, rel. 33, (2 2 3)
- 2θ 58.68, d 1.573, rel. 23, (3 3 1)

Cell and atoms:
```
data_Er2Pd4Rh
_chemical_formula_sum 'Er8 Pd16 Rh4'
_cell_length_a 9.8724
_cell_length_b 5.4696
_cell_length_c 9.6055
_cell_angle_alpha 90.00
_cell_angle_beta 90.00
_cell_angle_gamma 90.00
_space_group_name_H-M_alt 'C m c e'
_space_group_IT_number 64
_space_group_name_Hall '-C 2ac 2'
loop_
_atom_site_label
_atom_site_fract_x
_atom_site_fract_y
_atom_site_fract_z
Er1 0.1577 0.0000 0.0000
Pd1 0.0000 0.1430 0.2316
Pd2 0.2500 0.1561 0.7500
Rh1 0.0000 0.0000 0.5000
```